This entry pairs a crystal structure of Cs2K2ZnAs2 with its simulated PXRD pattern. Radiation: λ = 1.5418 Å (Cu Kα). Structure: a cell relaxed with GGA-PBE.

Cell and atoms:
a = 9.6045 Å, b = 9.6045 Å, c = 9.6045 Å
α = 37.35°, β = 37.35°, γ = 37.35°
Element x y z (fractional)
Cs1 0.1171 0.1171 0.1171
Cs2 0.8829 0.8829 0.8829
K1 0.2915 0.2915 0.2915
K2 0.7085 0.7085 0.7085
Zn1 0.5000 0.5000 0.5000
As1 0.4128 0.4128 0.4128
As2 0.5872 0.5872 0.5872

The 10 most intense peaks (2θ from 10° to 90°), by angle:
21.3°, I 35.5; 23.6°, I 28.4; 28.7°, I 17.9; 29.0°, I 100.0; 30.7°, I 12.9; 31.6°, I 12.0; 37.6°, I 21.2; 47.3°, I 13.4; 48.2°, I 17.7; 51.5°, I 19.3